The following is a computed powder diffractogram of MgCoSe2O8. It was derived from a PBE+U-relaxed structure, using Cu Kα, 1.54184 Å.
Peak positions follow from Bragg's law for the DFT cell and can differ from measured ones.

Peak list (6 most intense, 2θ = 10–80°, sorted by position)
| d_spacing | two_theta | I (rel.) |
| --- | --- | --- |
| 4.558 | 19.48 | 19 |
| 3.464 | 25.72 | 100 |
| 2.758 | 32.47 | 27 |
| 2.575 | 34.85 | 56 |
| 1.774 | 51.50 | 55 |
| 1.437 | 64.89 | 18 |

Structure:
```
MgCoSe2O8
1.0
-3.464 3.464 3.026
3.464 -3.464 3.026
3.464 3.464 -3.026
Mg Co Se O
1 1 2 8
Cartesian
0.000 0.000 0.000 Mg
3.464 0.000 1.513 Co
0.000 0.000 3.026 Se
0.000 3.464 1.513 Se
2.189 3.464 -1.093 O
1.274 0.000 1.934 O
0.000 2.182 0.433 O
3.464 2.189 1.093 O
0.000 4.745 0.433 O
0.000 1.274 4.119 O
-1.282 3.464 2.594 O
1.282 3.464 2.594 O
```